1.
Diffraction record for SmPuB12. The powder X-ray diffraction pattern is theoretical, not measured: it uses DFT lattice parameters and positions (PBE) and Cu Kα (λ = 1.5418 Å).
Lines closer than 0.1° are merged.

Crystal structure
```
data_SmPuB12
_space_group_name_H-M_alt 'P 4/m m m'
_space_group_IT_number 123
_space_group_name_Hall '-P 4 2'
_cell_length_a 4.1138
_cell_length_b 4.1138
_cell_length_c 8.2292
_cell_angle_alpha 90.00
_cell_angle_beta 90.00
_cell_angle_gamma 90.00
loop_
_atom_site_label
_atom_site_type_symbol
_atom_site_fract_x
_atom_site_fract_y
_atom_site_fract_z
_atom_site_occupancy
Sm1 Sm 0.0000 0.0000 0.0000 1
Pu1 Pu 0.0000 0.0000 0.5000 1
B1 B 0.1990 0.5000 0.2502 1
B2 B 0.5000 0.5000 0.0997 1
B3 B 0.5000 0.5000 0.4008 1
```

Peak list (12 most intense, 2θ from 15° to 90°, in order of rising 2θ)
2θ/deg, I_rel
21.60, 76
30.73, 100
37.88, 42
44.02, 21
49.54, 52
54.65, 31
64.01, 11
68.41, 28
72.68, 20
76.85, 14
85.01, 10
89.04, 20


2.
Diffraction record for CdSb8. The powder X-ray diffraction pattern is theoretical, not measured: it uses DFT lattice parameters and positions (PBE) and Cu Kα (λ = 1.5418 Å).
Lines closer than 0.1° are merged.

Crystal structure
```
data_CdSb8
_space_group_name_H-M_alt 'I 4/m m m'
_space_group_IT_number 139
_space_group_name_Hall '-I 4 2'
_cell_length_a 9.4656
_cell_length_b 9.4656
_cell_length_c 5.5472
_cell_angle_alpha 90.00
_cell_angle_beta 90.00
_cell_angle_gamma 90.00
loop_
_atom_site_label
_atom_site_type_symbol
_atom_site_fract_x
_atom_site_fract_y
_atom_site_fract_z
_atom_site_occupancy
Cd1 Cd 0.0000 0.0000 0.0000 1
Sb1 Sb 0.0000 0.3218 0.0000 1
Sb2 Sb 0.1683 0.1683 0.5000 1
```

Peak list (12 most intense, 2θ from 15° to 90°, in order of rising 2θ)
2θ/deg, I_rel
32.28, 26
32.65, 100
40.43, 27
52.65, 25
57.80, 19
58.51, 9
67.55, 3
68.41, 11
68.63, 21
81.77, 7
86.83, 12
87.43, 3


3.
Diffraction record for NdEr12In6. The powder X-ray diffraction pattern is theoretical, not measured: it uses DFT lattice parameters and positions (PBE) and Cu Kα (λ = 1.5418 Å).
Lines closer than 0.1° are merged.

Crystal structure
```
data_NdEr12In6
_space_group_name_H-M_alt 'R -3 m'
_space_group_IT_number 166
_space_group_name_Hall '-R 3 2"'
_cell_length_a 13.7965
_cell_length_b 13.7965
_cell_length_c 11.1148
_cell_angle_alpha 90.00
_cell_angle_beta 90.00
_cell_angle_gamma 120.00
loop_
_atom_site_label
_atom_site_type_symbol
_atom_site_fract_x
_atom_site_fract_y
_atom_site_fract_z
_atom_site_occupancy
Nd1 Nd 0.0000 0.0000 0.0000 1
Er1 Er 0.0000 0.3763 0.5000 1
Er2 Er 0.0886 0.1772 0.3568 1
In1 In 0.0282 0.5141 0.2717 1
```

Peak list (12 most intense, 2θ from 15° to 90°, in order of rising 2θ)
2θ/deg, I_rel
27.32, 45
28.10, 100
31.43, 24
33.04, 76
33.68, 28
34.08, 48
35.62, 32
41.12, 44
49.37, 22
54.38, 18
56.39, 18
59.09, 20


4.
Diffraction record for Rb2SnBr4. The powder X-ray diffraction pattern is theoretical, not measured: it uses DFT lattice parameters and positions (PBE) and Cu Kα (λ = 1.5418 Å).
Lines closer than 0.1° are merged.

Crystal structure
```
data_Rb2SnBr4
_space_group_name_H-M_alt 'C m m m'
_space_group_IT_number 65
_space_group_name_Hall '-C 2 2'
_cell_length_a 10.1907
_cell_length_b 13.7342
_cell_length_c 4.6215
_cell_angle_alpha 90.00
_cell_angle_beta 90.00
_cell_angle_gamma 90.00
loop_
_atom_site_label
_atom_site_type_symbol
_atom_site_fract_x
_atom_site_fract_y
_atom_site_fract_z
_atom_site_occupancy
Rb1 Rb 0.2500 0.2500 0.0000 1
Sn1 Sn 0.0000 0.0000 0.5000 1
Br1 Br 0.0000 0.2193 0.5000 1
Br2 Br 0.1979 0.0000 0.0000 1
```

Peak list (12 most intense, 2θ from 15° to 90°, in order of rising 2θ)
2θ/deg, I_rel
26.00, 100
33.38, 17
33.80, 9
35.23, 11
37.09, 45
38.98, 13
44.27, 9
46.86, 12
47.42, 12
60.31, 7
60.43, 7
69.36, 7


5.
Diffraction record for Li7Cd5Pb. The powder X-ray diffraction pattern is theoretical, not measured: it uses DFT lattice parameters and positions (PBE) and Cu Kα (λ = 1.5418 Å).
Lines closer than 0.1° are merged.

Crystal structure
```
data_Li7Cd5Pb
_space_group_name_H-M_alt 'I m m 2'
_space_group_IT_number 44
_cell_length_a 5.6710
_cell_length_b 9.7843
_cell_length_c 9.7931
_cell_angle_alpha 90.00
_cell_angle_beta 90.00
_cell_angle_gamma 90.00
loop_
_space_group_symop_operation_xyz
'x,y,z'
'-x,-y,z'
'-x,y,z'
'x,-y,z'
'x+1/2,y+1/2,z+1/2'
'-x+1/2,-y+1/2,z+1/2'
'-x+1/2,y+1/2,z+1/2'
'x+1/2,-y+1/2,z+1/2'
loop_
_atom_site_label
_atom_site_type_symbol
_atom_site_fract_x
_atom_site_fract_y
_atom_site_fract_z
_atom_site_occupancy
Li1 Li 0.0000 0.0000 0.0000 1
Li2 Li 0.0000 0.0000 0.3061 1
Li3 Li 0.0000 0.3147 0.1248 1
Li4 Li 0.0000 0.3398 0.6293 1
Li5 Li 0.0000 0.5000 0.3534 1
Cd1 Cd 0.0000 0.5000 0.8801 1
Cd2 Cd 0.2489 0.2620 0.3786 1
Pb1 Pb 0.0000 0.0000 0.6520 1
```

Peak list (12 most intense, 2θ from 15° to 90°, in order of rising 2θ)
2θ/deg, I_rel
18.10, 54
25.72, 95
28.84, 17
36.66, 100
36.74, 19
41.18, 23
43.27, 11
52.81, 31
52.88, 32
59.74, 12
66.09, 13
78.05, 14


6.
Diffraction record for MgCrCuIr. The powder X-ray diffraction pattern is theoretical, not measured: it uses DFT lattice parameters and positions (PBE) and Cu Kα (λ = 1.5418 Å).
Lines closer than 0.1° are merged.

Crystal structure
```
data_MgCrCuIr
_space_group_name_H-M_alt 'F -4 3 m'
_space_group_IT_number 216
_space_group_name_Hall 'F -4 2 3'
_cell_length_a 6.1036
_cell_length_b 6.1036
_cell_length_c 6.1036
_cell_angle_alpha 90.00
_cell_angle_beta 90.00
_cell_angle_gamma 90.00
loop_
_atom_site_label
_atom_site_type_symbol
_atom_site_fract_x
_atom_site_fract_y
_atom_site_fract_z
_atom_site_occupancy
Mg1 Mg 0.0000 0.0000 0.0000 1
Cr1 Cr 0.0000 0.0000 0.5000 1
Cu1 Cu 0.2500 0.2500 0.2500 1
Ir1 Ir 0.2500 0.2500 0.7500 1
```

Peak list (10 most intense, 2θ from 15° to 90°, in order of rising 2θ)
2θ/deg, I_rel
25.27, 33
29.26, 36
41.86, 100
49.53, 17
51.89, 10
60.69, 16
66.81, 7
68.78, 14
76.45, 32
82.04, 6


7.
Diffraction record for CsP2H6. The powder X-ray diffraction pattern is theoretical, not measured: it uses DFT lattice parameters and positions (PBE) and Cu Kα (λ = 1.5418 Å).
Lines closer than 0.1° are merged.

Crystal structure
```
data_CsP2H6
_space_group_name_H-M_alt 'F d d 2'
_space_group_IT_number 43
_space_group_name_Hall 'F 2 -2d'
_cell_length_a 12.4629
_cell_length_b 14.5950
_cell_length_c 6.4713
_cell_angle_alpha 90.00
_cell_angle_beta 90.00
_cell_angle_gamma 90.00
loop_
_atom_site_label
_atom_site_type_symbol
_atom_site_fract_x
_atom_site_fract_y
_atom_site_fract_z
_atom_site_occupancy
Cs1 Cs 0.0000 0.0000 0.0000 1
P1 P 0.0725 0.2364 0.7710 1
H1 H 0.0048 0.1919 0.2211 1
H2 H 0.0205 0.3210 0.3265 1
H3 H 0.0752 0.1932 0.5704 1
```

Peak list (12 most intense, 2θ from 15° to 90°, in order of rising 2θ)
2θ/deg, I_rel
16.59, 82
18.73, 41
23.97, 35
24.40, 59
26.21, 100
30.21, 69
31.51, 58
40.25, 29
42.12, 21
45.40, 20
46.69, 25
58.57, 22